Record 1
For Lu12In2Fe3, a crystal structure in Alexandria, relaxed with PBE gives the calculated powder XRD pattern in this record (CuKα).
Neutral-atom scattering factors, no anomalous dispersion.

Structural model:
```
Lu12In2Fe3
1.0
-4.774 4.774 4.596
4.774 -4.774 4.596
4.774 4.774 -4.596
Lu In Fe
12 2 3
direct
0.045 0.809 0.236
0.191 0.427 0.236
0.191 0.955 0.764
0.308 0.308 0.615
0.308 0.692 0.000
0.427 0.191 0.236
0.573 0.809 0.764
0.692 0.308 0.000
0.692 0.692 0.385
0.809 0.045 0.236
0.809 0.573 0.764
0.955 0.191 0.764
0.000 0.500 0.500
0.500 0.000 0.500
0.000 0.000 0.000
0.383 0.383 0.000
0.617 0.617 0.000
```

Principal peaks in the range 10 to 90 degrees two-theta, low angle first:
2θ 29.7, I 27; 2θ 30.6, I 26; 2θ 32.9, I 100; 2θ 35.3, I 37; 2θ 36.1, I 41; 2θ 37.7, I 41; 2θ 56.8, I 16; 2θ 61.4, I 23



Record 2
For Mg2InFe, a crystal structure in Alexandria, relaxed with PBE gives the calculated powder XRD pattern in this record (CuKα).
Neutral-atom scattering factors, no anomalous dispersion.

Structural model:
```
Mg2InFe
1.0
3.047 0.000 0.000
0.000 4.505 0.000
-1.512 0.000 5.616
Mg In Fe
2 1 1
direct
0.000 0.000 0.000
0.347 0.500 0.695
0.727 0.000 0.456
0.596 0.500 0.193
```

Principal peaks in the range 10 to 90 degrees two-theta, low angle first:
2θ 15.8, I 83; 2θ 25.3, I 56; 2θ 30.4, I 71; 2θ 36.5, I 71; 2θ 37.7, I 100; 2θ 40.0, I 44; 2θ 43.2, I 83; 2θ 51.1, I 32



Record 3
For MgInFe, a crystal structure in Alexandria, relaxed with PBE gives the calculated powder XRD pattern in this record (CuKα).
Neutral-atom scattering factors, no anomalous dispersion.

Structural model:
```
MgInFe
1.0
0.000 4.538 9.309
2.626 0.000 9.309
2.626 4.538 0.000
Mg In Fe
4 4 4
direct
0.037 0.713 0.037
0.287 0.963 0.287
0.713 0.037 0.713
0.963 0.287 0.963
0.289 0.289 0.461
0.461 0.461 0.289
0.539 0.539 0.711
0.711 0.711 0.539
0.003 0.003 0.747
0.253 0.253 0.997
0.747 0.747 0.003
0.997 0.997 0.253
```

Principal peaks in the range 10 to 90 degrees two-theta, low angle first:
2θ 19.1, I 80; 2θ 20.1, I 28; 2θ 31.0, I 32; 2θ 34.6, I 26; 2θ 35.0, I 51; 2θ 39.2, I 59; 2θ 39.7, I 98; 2θ 44.4, I 100